Computed powder diffraction line list of P4Pt for Cu Kα, from the PBE geometry in Alexandria.

Structural model:
```
data_P4Pt
_cell_length_a 5.0383
_cell_length_b 4.9596
_cell_length_c 6.7905
_cell_angle_alpha 90.00
_cell_angle_beta 101.82
_cell_angle_gamma 90.00
_symmetry_space_group_name_H-M 'P 1 21/c 1'
_symmetry_Int_Tables_number 14
_symmetry_space_group_name_Hall '-P 2ybc'
loop_
_atom_site_label
_atom_site_type_symbol
_atom_site_fract_x
_atom_site_fract_y
_atom_site_fract_z
P1 P 0.1263 0.1508 0.4272
P2 P 0.2637 0.6837 0.7486
Pt1 Pt 0.5000 0.0000 0.0000
```

Most intense lines, 2θ from 15° to 90°, most intense first:
| 2theta | I/Imax | h k l |
| --- | --- | --- |
| 30.6 | 100 | 1 1 1 |
| 22.4 | 84 | 0 1 1 |
| 27.0 | 68 | 1 1 -1 |
| 18.0 | 63 | 1 0 0 |
| 45.6 | 43 | 0 2 2 |
| 29.2 | 33 | 1 0 -2 |
| 40.6 | 31 | 2 1 -1 |
| 26.8 | 30 | 0 0 2 |
| 40.7 | 30 | 1 2 0 |
| 45.2 | 21 | 1 1 -3 |
| 44.8 | 19 | 0 1 3 |
| 52.3 | 19 | 2 2 0 |

Computed powder diffraction line list of UMnH for Cu Kα, from the PBE geometry in Alexandria.

Structural model:
```
data_UMnH
_cell_length_a 3.0913
_cell_length_b 3.0913
_cell_length_c 4.3720
_cell_angle_alpha 90.00
_cell_angle_beta 90.00
_cell_angle_gamma 120.00
_symmetry_space_group_name_H-M 'P 3 m 1'
_symmetry_Int_Tables_number 156
_symmetry_space_group_name_Hall 'P 3 -2"'
loop_
_atom_site_label
_atom_site_type_symbol
_atom_site_fract_x
_atom_site_fract_y
_atom_site_fract_z
U1 U 0.0000 0.0000 0.0000
Mn1 Mn 0.3333 0.6667 0.5117
H1 H 0.6667 0.3333 0.3818
```

Most intense lines, 2θ from 15° to 90°, most intense first:
| 2theta | I/Imax | h k l |
| --- | --- | --- |
| 39.5 | 100 | 1 0 1 |
| 33.5 | 48 | 1 0 0 |
| 20.3 | 36 | 0 0 1 |
| 74.1 | 33 | 1 0 3 |
| 54.2 | 26 | 0 1 2 |
| 75.3 | 18 | 1 1 2 |
| 59.8 | 18 | 1 1 0 |
| 41.3 | 17 | 0 0 2 |
| 63.9 | 14 | 0 0 3 |
| 85.0 | 8 | 2 0 2 |
| 70.3 | 6 | 2 0 0 |
| 89.7 | 2 | 0 0 4 |

Computed powder diffraction line list of In2SeS6 for Cu Kα, from the PBE geometry in Alexandria.

Structural model:
```
data_In2SeS6
_cell_length_a 4.1784
_cell_length_b 7.4175
_cell_length_c 8.3400
_cell_angle_alpha 89.20
_cell_angle_beta 86.57
_cell_angle_gamma 86.83
_symmetry_space_group_name_H-M 'P -1'
_symmetry_Int_Tables_number 2
_symmetry_space_group_name_Hall '-P 1'
loop_
_atom_site_label
_atom_site_type_symbol
_atom_site_fract_x
_atom_site_fract_y
_atom_site_fract_z
In1 In 0.0164 0.2437 0.4167
Se1 Se 0.5000 0.0000 0.5000
S1 S 0.1297 0.3710 0.9902
S2 S 0.1369 0.7922 0.8701
S3 S 0.3745 0.5351 0.3977
```

Most intense lines, 2θ from 15° to 90°, most intense first:
| 2theta | I/Imax | h k l |
| --- | --- | --- |
| 21.3 | 100 | 0 0 2 |
| 15.9 | 83 | 0 1 1 |
| 33.2 | 75 | 1 -2 0 |
| 33.8 | 48 | 1 2 -1 |
| 34.4 | 42 | 0 1 3 |
| 40.4 | 40 | 1 -1 3 |
| 31.4 | 37 | 1 2 0 |
| 32.8 | 27 | 1 2 1 |
| 26.9 | 25 | 1 -1 1 |
| 32.4 | 19 | 1 -1 2 |
| 51.5 | 19 | 1 1 -4 |
| 49.2 | 16 | 0 4 0 |

Computed powder diffraction line list of LaCe2ZnC for Cu Kα, from the PBE geometry in Alexandria.

Structural model:
```
data_LaCe2ZnC
_cell_length_a 4.9032
_cell_length_b 4.9032
_cell_length_c 5.2110
_cell_angle_alpha 90.00
_cell_angle_beta 90.00
_cell_angle_gamma 90.00
_symmetry_space_group_name_H-M 'P 4 m m'
_symmetry_Int_Tables_number 99
_symmetry_space_group_name_Hall 'P 4 -2'
loop_
_atom_site_label
_atom_site_type_symbol
_atom_site_fract_x
_atom_site_fract_y
_atom_site_fract_z
La1 La 0.0000 0.0000 0.0000
Ce1 Ce 0.0000 0.5000 0.5002
Zn1 Zn 0.5000 0.5000 0.0011
C1 C 0.0000 0.0000 0.4999
```

Most intense lines, 2θ from 15° to 90°, most intense first:
| 2theta | I/Imax | h k l |
| --- | --- | --- |
| 31.0 | 100 | 1 1 1 |
| 36.7 | 35 | 2 0 0 |
| 62.5 | 27 | 3 1 1 |
| 51.2 | 26 | 2 0 2 |
| 34.4 | 21 | 0 0 2 |
| 59.5 | 16 | 1 1 3 |
| 64.6 | 13 | 2 2 2 |
| 52.8 | 12 | 2 2 0 |
| 83.6 | 12 | 3 1 3 |
| 84.2 | 6 | 2 0 4 |
| 88.1 | 6 | 4 0 2 |
| 86.2 | 6 | 3 3 1 |